Diffraction record for ZrFe5. The PXRD pattern is calculated, not measured: it uses a DFT-relaxed cell (GGA-PBE, Alexandria) and copper Kα.

Crystal structure
Unit cell a=9.2463 b=3.0529 c=5.8874 alpha=90.00 beta=108.36 gamma=90.00
Space group C2/m (No. 12)
One atom of each set of equivalent atoms:
Zr: 0.0000 0.0000 0.0000
Fe: 0.0000 0.0000 0.5000
Fe: 0.1730 0.5000 0.3516
Fe: 0.1732 0.5000 0.8172

Peak list (8 most intense, 10 to 90 degrees two-theta, sorted by position)
2θ = 42.7°, I 99.0
2θ = 42.8°, I 100.0
2θ = 43.5°, I 46.4
2θ = 43.7°, I 45.4
2θ = 60.7°, I 17.6
2θ = 77.6°, I 14.8
2θ = 77.7°, I 14.6
2θ = 79.5°, I 26.0

---

Diffraction record for Zr3Fe4. The PXRD pattern is calculated, not measured: it uses a DFT-relaxed cell (GGA-PBE, Alexandria) and copper Kα.

Crystal structure
Unit cell a=3.1266 b=3.1266 c=23.2130 alpha=90.00 beta=90.00 gamma=90.00
Space group I4/mmm (No. 139)
One atom of each set of equivalent atoms:
Zr: 0.0000 0.0000 0.0000
Zr: 0.0000 0.0000 0.2992
Fe: 0.0000 0.0000 0.1262
Fe: 0.0000 0.0000 0.4270

Peak list (8 most intense, 10 to 90 degrees two-theta, sorted by position)
2θ = 30.8°, I 17.7
2θ = 38.8°, I 8.5
2θ = 39.6°, I 100.0
2θ = 40.8°, I 59.3
2θ = 45.6°, I 9.2
2θ = 57.6°, I 10.4
2θ = 59.1°, I 18.8
2θ = 73.5°, I 29.3

---

Diffraction record for Gd3Ga. The PXRD pattern is calculated, not measured: it uses a DFT-relaxed cell (GGA-PBE, Alexandria) and copper Kα.

Crystal structure
Unit cell a=4.6989 b=4.6989 c=9.7989 alpha=90.00 beta=90.00 gamma=90.00
Space group I4/mmm (No. 139)
One atom of each set of equivalent atoms:
Gd: 0.0000 0.0000 0.0000
Gd: 0.0000 0.5000 0.2500
Ga: 0.0000 0.0000 0.5000

Peak list (8 most intense, 10 to 90 degrees two-theta, sorted by position)
2θ = 32.6°, I 100.0
2θ = 36.7°, I 18.1
2θ = 38.3°, I 32.2
2θ = 54.1°, I 23.7
2θ = 63.5°, I 14.6
2θ = 65.7°, I 26.3
2θ = 68.2°, I 11.7
2θ = 89.1°, I 11.9

---

Diffraction record for GdHoGa4. The PXRD pattern is calculated, not measured: it uses a DFT-relaxed cell (GGA-PBE, Alexandria) and copper Kα.

Crystal structure
Unit cell a=7.8041 b=7.8041 c=7.8041 alpha=90.00 beta=90.00 gamma=90.00
Space group F-43m (No. 216)
One atom of each set of equivalent atoms:
Gd: 0.0000 0.0000 0.0000
Ho: 0.2500 0.2500 0.7500
Ga: 0.1250 0.1250 0.3750

Peak list (8 most intense, 10 to 90 degrees two-theta, sorted by position)
2θ = 32.4°, I 56.9
2θ = 38.2°, I 100.0
2θ = 40.0°, I 18.4
2θ = 57.9°, I 22.0
2θ = 61.8°, I 32.3
2θ = 67.9°, I 24.4
2θ = 77.3°, I 9.4
2θ = 80.7°, I 11.2

---

Diffraction record for Gd3Mn3Ga2Si. The PXRD pattern is calculated, not measured: it uses a DFT-relaxed cell (GGA-PBE, Alexandria) and copper Kα.

Crystal structure
Unit cell a=6.9512 b=6.9512 c=4.2753 alpha=90.00 beta=90.00 gamma=120.00
Space group P-6 (No. 174)
One atom of each set of equivalent atoms:
Gd: 0.0033 0.4264 0.0000
Mn: 0.0124 0.7751 0.5000
Ga: 0.0000 0.0000 0.0000
Ga: 0.6667 0.3333 0.5000
Si: 0.3333 0.6667 0.5000

Peak list (8 most intense, 10 to 90 degrees two-theta, sorted by position)
2θ = 25.6°, I 19.9
2θ = 29.7°, I 31.1
2θ = 33.2°, I 78.4
2θ = 36.5°, I 100.0
2θ = 39.6°, I 36.4
2θ = 42.3°, I 26.9
2θ = 59.3°, I 21.4
2θ = 59.4°, I 31.8

---

Diffraction record for NaGdYGa. The PXRD pattern is calculated, not measured: it uses a DFT-relaxed cell (GGA-PBE, Alexandria) and copper Kα.

Crystal structure
Unit cell a=7.4313 b=7.4313 c=7.4313 alpha=90.00 beta=90.00 gamma=90.00
Space group F-43m (No. 216)
One atom of each set of equivalent atoms:
Na: 0.0000 0.0000 0.0000
Gd: 0.2500 0.2500 0.7500
Y: 0.2500 0.2500 0.2500
Ga: 0.0000 0.0000 0.5000

Peak list (8 most intense, 10 to 90 degrees two-theta, sorted by position)
2θ = 20.7°, I 12.4
2θ = 23.9°, I 23.0
2θ = 34.1°, I 100.0
2θ = 49.0°, I 17.7
2θ = 55.3°, I 9.4
2θ = 61.1°, I 36.0
2θ = 71.9°, I 11.0
2θ = 82.0°, I 15.2